The following is a computed powder X-ray diffraction pattern of Na3CaMgCr3Si8O24. It was derived from DFT lattice parameters and positions (GGA+U), using a wavelength of 1.5418 Å.

Principal peaks in the range 5 to 70 degrees two-theta, sorted by position:
two_theta, I_rel, h k l
13.77, 21, 0 1 1
19.96, 27, 0 2 0
29.69, 100, 1 2 1
30.48, 44, 0 1 3
34.95, 27, 1 3 0
35.24, 41, 2 0 -2
35.94, 40, 1 2 -3
42.29, 20, 1 3 2

Structural model:
```
data_Na3CaMgCr3Si8O24
_symmetry_space_group_name_H-M 'P 1 2 1'
_symmetry_Int_Tables_number 3
_symmetry_space_group_name_Hall 'P 2y'
_cell_length_a 5.330
_cell_length_b 8.881
_cell_length_c 9.638
_cell_angle_alpha 90.00
_cell_angle_beta 104.73
_cell_angle_gamma 90.00
loop_
_atom_site_label
_atom_site_type_symbol
_atom_site_fract_x
_atom_site_fract_y
_atom_site_fract_z
_atom_site_occupancy
Na1 Na 0.000 0.000 0.000 1
Na2 Na 0.000 0.101 0.500 1
Na3 Na 0.500 0.606 0.000 1
Ca1 Ca 0.500 0.505 0.500 1
Mg1 Mg 0.000 0.715 0.500 1
Cr1 Cr 0.000 0.399 0.000 1
Cr2 Cr 0.500 0.207 0.000 1
Cr3 Cr 0.500 0.896 0.500 1
Si1 Si 0.191 0.394 0.711 1
Si2 Si 0.192 0.714 0.208 1
Si3 Si 0.308 0.209 0.290 1
Si4 Si 0.311 0.895 0.790 1
O1 O 0.097 0.792 0.850 1
O2 O 0.101 0.316 0.351 1
O3 O 0.195 0.547 0.141 1
O4 O 0.202 0.555 0.639 1
O5 O 0.226 0.224 0.114 1
O6 O 0.233 0.888 0.615 1
O7 O 0.273 0.381 0.887 1
O8 O 0.283 0.720 0.384 1
O9 O 0.303 0.047 0.361 1
O10 O 0.305 0.060 0.861 1
O11 O 0.402 0.815 0.146 1
O12 O 0.405 0.293 0.649 1
```